Record 1
Diffraction record for TaCoS3. The powder XRD pattern is calculated, not measured: it uses a GGA-PBE-relaxed structure and Cu Kα.

Crystal structure
```
data_TaCoS3
_symmetry_space_group_name_H-M 'P n m a'
_symmetry_Int_Tables_number 62
_symmetry_space_group_name_Hall '-P 2ac 2n'
_cell_length_a 11.996
_cell_length_b 3.342
_cell_length_c 11.642
_cell_angle_alpha 90.00
_cell_angle_beta 90.00
_cell_angle_gamma 90.00
loop_
_atom_site_label
_atom_site_type_symbol
_atom_site_fract_x
_atom_site_fract_y
_atom_site_fract_z
Ta1 Ta 0.213 0.250 0.210
Co1 Co 0.042 0.750 0.260
S1 S 0.096 0.250 0.369
S2 S 0.130 0.750 0.085
S3 S 0.144 0.250 0.757
```

Top 6 peaks for 10° ≤ 2θ ≤ 90°, by angle:
index	2θ/deg	I (rel.)
2 0 0	14.77	18
0 0 2	15.22	100
2 0 1	16.63	39
2 1 1	31.60	51
2 1 3	38.59	20
4 1 2	43.42	19

Record 2
Diffraction record for CaNd2B9. The powder XRD pattern is calculated, not measured: it uses a GGA-PBE-relaxed structure and Cu Kα.

Crystal structure
```
data_CaNd2B9
_symmetry_space_group_name_H-M 'R -3 m'
_symmetry_Int_Tables_number 166
_symmetry_space_group_name_Hall '-R 3 2"'
_cell_length_a 4.4931
_cell_length_b 4.4931
_cell_length_c 29.3425
_cell_angle_alpha 90.00
_cell_angle_beta 90.00
_cell_angle_gamma 120.00
loop_
_atom_site_label
_atom_site_type_symbol
_atom_site_fract_x
_atom_site_fract_y
_atom_site_fract_z
Ca1 Ca 0.0000 0.0000 0.0000
Nd1 Nd 0.0000 0.0000 0.1160
B1 B 0.0000 0.0000 0.4027
B2 B 0.0000 0.0000 0.5000
B3 B 0.0916 0.5458 0.9371
```

Top 6 peaks for 10° ≤ 2θ ≤ 90°, by angle:
index	2θ/deg	I (rel.)
1 0 1	23.06	100
1 0 4	25.92	75
0 1 5	27.50	58
0 1 8	33.58	85
1 1 0	40.14	57
1 1 9	49.28	61

Record 3
Diffraction record for Tb4YBi5. The powder XRD pattern is calculated, not measured: it uses a GGA-PBE-relaxed structure and Cu Kα.

Crystal structure
```
data_Tb4YBi5
_symmetry_space_group_name_H-M 'I 4/m m m'
_symmetry_Int_Tables_number 139
_symmetry_space_group_name_Hall '-I 4 2'
_cell_length_a 4.492
_cell_length_b 4.492
_cell_length_c 31.752
_cell_angle_alpha 90.00
_cell_angle_beta 90.00
_cell_angle_gamma 90.00
loop_
_atom_site_label
_atom_site_type_symbol
_atom_site_fract_x
_atom_site_fract_y
_atom_site_fract_z
Tb1 Tb 0.000 0.000 0.100
Tb2 Tb 0.000 0.000 0.300
Y1 Y 0.000 0.000 0.500
Bi1 Bi 0.000 0.000 0.000
Bi2 Bi 0.000 0.000 0.200
Bi3 Bi 0.000 0.000 0.400
```

Top 6 peaks for 10° ≤ 2θ ≤ 90°, by angle:
index	2θ/deg	I (rel.)
1 1 0	28.10	100
2 0 0	40.16	78
2 0 10	49.73	28
2 2 0	58.09	13
3 1 0	65.75	37
3 1 10	72.97	28

Record 4
Diffraction record for Tl3Cu2Cl9. The powder XRD pattern is calculated, not measured: it uses a GGA-PBE-relaxed structure and Cu Kα.

Crystal structure
```
data_Tl3Cu2Cl9
_symmetry_space_group_name_H-M 'P -3 m 1'
_symmetry_Int_Tables_number 164
_symmetry_space_group_name_Hall '-P 3 2"'
_cell_length_a 6.9018
_cell_length_b 6.9018
_cell_length_c 8.5773
_cell_angle_alpha 90.00
_cell_angle_beta 90.00
_cell_angle_gamma 120.00
loop_
_atom_site_label
_atom_site_type_symbol
_atom_site_fract_x
_atom_site_fract_y
_atom_site_fract_z
Tl1 Tl 0.0000 0.0000 0.0000
Tl2 Tl 0.3333 0.6667 0.3576
Cu1 Cu 0.3333 0.6667 0.8338
Cl1 Cl 0.0000 0.5000 0.0000
Cl2 Cl 0.1731 0.3461 0.6853
```

Top 6 peaks for 10° ≤ 2θ ≤ 90°, by angle:
index	2θ/deg	I (rel.)
0 1 1	18.09	69
1 0 2	25.56	95
1 1 0	25.82	90
2 0 1	31.71	84
0 2 2	36.65	100
2 1 2	45.37	43

Repeat the third record exactly.
Diffraction record for Tb4YBi5. The powder XRD pattern is calculated, not measured: it uses a GGA-PBE-relaxed structure and Cu Kα.

Crystal structure
```
data_Tb4YBi5
_symmetry_space_group_name_H-M 'I 4/m m m'
_symmetry_Int_Tables_number 139
_symmetry_space_group_name_Hall '-I 4 2'
_cell_length_a 4.492
_cell_length_b 4.492
_cell_length_c 31.752
_cell_angle_alpha 90.00
_cell_angle_beta 90.00
_cell_angle_gamma 90.00
loop_
_atom_site_label
_atom_site_type_symbol
_atom_site_fract_x
_atom_site_fract_y
_atom_site_fract_z
Tb1 Tb 0.000 0.000 0.100
Tb2 Tb 0.000 0.000 0.300
Y1 Y 0.000 0.000 0.500
Bi1 Bi 0.000 0.000 0.000
Bi2 Bi 0.000 0.000 0.200
Bi3 Bi 0.000 0.000 0.400
```

Top 6 peaks for 10° ≤ 2θ ≤ 90°, by angle:
index	2θ/deg	I (rel.)
1 1 0	28.10	100
2 0 0	40.16	78
2 0 10	49.73	28
2 2 0	58.09	13
3 1 0	65.75	37
3 1 10	72.97	28

What did the third record say?
Diffraction record for Tb4YBi5. The powder XRD pattern is calculated, not measured: it uses a GGA-PBE-relaxed structure and Cu Kα.

Crystal structure
```
data_Tb4YBi5
_symmetry_space_group_name_H-M 'I 4/m m m'
_symmetry_Int_Tables_number 139
_symmetry_space_group_name_Hall '-I 4 2'
_cell_length_a 4.492
_cell_length_b 4.492
_cell_length_c 31.752
_cell_angle_alpha 90.00
_cell_angle_beta 90.00
_cell_angle_gamma 90.00
loop_
_atom_site_label
_atom_site_type_symbol
_atom_site_fract_x
_atom_site_fract_y
_atom_site_fract_z
Tb1 Tb 0.000 0.000 0.100
Tb2 Tb 0.000 0.000 0.300
Y1 Y 0.000 0.000 0.500
Bi1 Bi 0.000 0.000 0.000
Bi2 Bi 0.000 0.000 0.200
Bi3 Bi 0.000 0.000 0.400
```

Top 6 peaks for 10° ≤ 2θ ≤ 90°, by angle:
index	2θ/deg	I (rel.)
1 1 0	28.10	100
2 0 0	40.16	78
2 0 10	49.73	28
2 2 0	58.09	13
3 1 0	65.75	37
3 1 10	72.97	28